Record 1
Th3P4Pt4: calculated XRD peak list (Cu Kα (λ = 1.5418 Å)), based on a DFT-relaxed cell (GGA-PBE, Alexandria).
Peak positions follow from Bragg's law for the DFT cell and can differ from measured ones.

Structure:
```
11
Lattice="4.052 0.000 0.000 0.014 4.179 0.000 2.009 1.335 12.807" Properties=species:S:1:pos:R:3 pbc="T T T"
Th 0.000 0.000 0.000
Th 2.027 3.798 9.007
Th 4.049 1.715 3.800
P 2.110 3.802 4.947
P 2.028 1.720 1.382
P 4.048 3.794 11.426
P 3.966 1.712 7.860
Pt 1.950 1.705 6.157
Pt 1.995 3.789 2.568
Pt 4.081 1.724 10.239
Pt 4.126 3.808 6.650
```

Peak list (6 most intense, 15 to 90 degrees two-theta, low angle first)
2.715 Å, intensity 72.2; 2.694 Å, intensity 55.1; 2.683 Å, intensity 51.0; 2.607 Å, intensity 100.0; 2.086 Å, intensity 47.6; 2.026 Å, intensity 36.6



Record 2
TiPPt3: calculated XRD peak list (Cu Kα (λ = 1.5418 Å)), based on a DFT-relaxed cell (GGA-PBE, Alexandria).
Peak positions follow from Bragg's law for the DFT cell and can differ from measured ones.

Structure:
```
5
Lattice="4.497 0.000 0.000 0.000 4.497 0.000 0.000 0.000 4.497" Properties=species:S:1:pos:R:3 pbc="T T T"
Ti 0.000 0.000 0.000
P 2.248 2.248 2.248
Pt 0.000 2.248 2.248
Pt 2.248 0.000 2.248
Pt 2.248 2.248 0.000
```

Peak list (6 most intense, 15 to 90 degrees two-theta, low angle first)
4.497 Å, intensity 26.3; 2.596 Å, intensity 100.0; 2.248 Å, intensity 60.7; 1.590 Å, intensity 41.4; 1.356 Å, intensity 40.4; 1.298 Å, intensity 14.1



Record 3
Ti3P3Pt: calculated XRD peak list (Cu Kα (λ = 1.5418 Å)), based on a DFT-relaxed cell (GGA-PBE, Alexandria).
Peak positions follow from Bragg's law for the DFT cell and can differ from measured ones.

Structure:
```
28
Lattice="10.889 0.000 0.000 0.000 3.526 0.000 0.000 0.000 11.193" Properties=species:S:1:pos:R:3 pbc="T T T"
Ti 0.594 0.882 1.409
Ti 1.877 2.645 5.577
Ti 2.325 2.645 8.745
Ti 3.119 0.882 3.148
Ti 3.567 0.882 11.174
Ti 4.850 2.645 7.005
Ti 6.038 0.882 4.188
Ti 7.322 2.645 0.019
Ti 7.769 2.645 8.045
Ti 8.563 0.882 2.449
Ti 9.011 0.882 5.616
Ti 10.294 2.645 9.784
P 0.904 0.882 3.975
P 1.228 0.882 10.162
P 2.442 2.645 1.426
P 3.002 0.882 7.023
P 4.216 2.645 4.565
P 4.541 2.645 9.571
P 6.348 0.882 1.622
P 6.673 0.882 6.628
P 7.886 2.645 4.170
P 8.446 0.882 9.767
P 9.660 2.645 1.031
P 9.985 2.645 7.218
Pt 0.600 0.882 7.474
Pt 4.845 2.645 1.878
Pt 6.044 0.882 9.316
Pt 10.289 2.645 3.719
```

Peak list (6 most intense, 15 to 90 degrees two-theta, low angle first)
4.896 Å, intensity 52.5; 3.530 Å, intensity 51.8; 2.877 Å, intensity 76.7; 2.493 Å, intensity 79.3; 2.155 Å, intensity 100.0; 2.032 Å, intensity 66.9



Record 4
TlP2Pt: calculated XRD peak list (Cu Kα (λ = 1.5418 Å)), based on a DFT-relaxed cell (GGA-PBE, Alexandria).
Peak positions follow from Bragg's law for the DFT cell and can differ from measured ones.

Structure:
```
4
Lattice="4.306 0.000 0.000 0.000 3.797 0.000 -1.253 0.000 5.325" Properties=species:S:1:pos:R:3 pbc="T T T"
Tl 0.000 0.000 0.000
P 0.236 1.899 3.322
P 2.817 1.899 2.003
Pt 1.526 0.000 2.662
```

Peak list (6 most intense, 15 to 90 degrees two-theta, low angle first)
3.797 Å, intensity 48.9; 3.735 Å, intensity 51.7; 2.978 Å, intensity 46.7; 2.663 Å, intensity 100.0; 2.344 Å, intensity 32.5; 2.180 Å, intensity 32.3



Record 5
P2PtW: calculated XRD peak list (Cu Kα (λ = 1.5418 Å)), based on a DFT-relaxed cell (GGA-PBE, Alexandria).
Peak positions follow from Bragg's law for the DFT cell and can differ from measured ones.

Structure:
```
4
Lattice="4.062 0.000 0.000 0.000 3.081 0.000 -2.004 0.000 4.650" Properties=species:S:1:pos:R:3 pbc="T T T"
P 0.000 0.000 0.000
P 1.029 1.541 2.325
Pt -1.002 0.000 2.325
W 2.031 1.541 0.000
```

Peak list (6 most intense, 15 to 90 degrees two-theta, low angle first)
3.715 Å, intensity 81.4; 2.569 Å, intensity 64.2; 2.472 Å, intensity 28.9; 2.376 Å, intensity 100.0; 2.325 Å, intensity 47.0; 1.921 Å, intensity 53.1



Record 6
P2PtW: calculated XRD peak list (Cu Kα (λ = 1.5418 Å)), based on a DFT-relaxed cell (GGA-PBE, Alexandria).
Peak positions follow from Bragg's law for the DFT cell and can differ from measured ones.

Structure:
```
4
Lattice="4.044 -1.657 0.000 4.044 1.657 0.000 -1.179 0.000 4.582" Properties=species:S:1:pos:R:3 pbc="T T T"
P 0.000 0.000 0.000
P 1.119 0.000 2.790
Pt 3.374 0.000 1.829
W 4.579 0.000 4.538
```

Peak list (6 most intense, 15 to 90 degrees two-theta, low angle first)
3.429 Å, intensity 84.8; 3.052 Å, intensity 75.2; 2.665 Å, intensity 89.5; 2.433 Å, intensity 100.0; 2.026 Å, intensity 75.2; 1.924 Å, intensity 49.2



Record 7
PPt3W: calculated XRD peak list (Cu Kα (λ = 1.5418 Å)), based on a DFT-relaxed cell (GGA-PBE, Alexandria).
Peak positions follow from Bragg's law for the DFT cell and can differ from measured ones.

Structure:
```
5
Lattice="4.483 0.000 0.000 0.000 4.483 0.000 0.000 0.000 4.483" Properties=species:S:1:pos:R:3 pbc="T T T"
P 0.000 0.000 0.000
Pt 0.000 0.000 2.242
Pt 0.000 2.242 0.000
Pt 2.242 0.000 0.000
W 2.242 2.242 2.242
```

Peak list (6 most intense, 15 to 90 degrees two-theta, low angle first)
2.588 Å, intensity 100.0; 2.242 Å, intensity 58.8; 1.585 Å, intensity 40.4; 1.352 Å, intensity 41.0; 1.294 Å, intensity 13.8; 1.121 Å, intensity 6.8



Record 8
YPPt2: calculated XRD peak list (Cu Kα (λ = 1.5418 Å)), based on a DFT-relaxed cell (GGA-PBE, Alexandria).
Peak positions follow from Bragg's law for the DFT cell and can differ from measured ones.

Structure:
```
12
Lattice="5.908 0.000 0.000 -2.954 5.117 0.000 0.000 0.000 7.576" Properties=species:S:1:pos:R:3 pbc="T T T"
Y -1.477 2.558 1.263
Y 2.954 0.000 3.788
Y 1.477 2.558 6.313
P -1.477 2.558 5.051
P 2.954 0.000 0.000
P 1.477 2.558 2.525
Pt 0.000 1.378 3.788
Pt -1.761 4.428 6.313
Pt 1.193 0.689 1.263
Pt 1.761 4.428 1.263
Pt 4.715 0.689 6.313
Pt 2.954 3.739 3.788
```

Peak list (6 most intense, 15 to 90 degrees two-theta, low angle first)
5.117 Å, intensity 38.1; 2.752 Å, intensity 100.0; 2.525 Å, intensity 34.8; 2.330 Å, intensity 83.0; 1.874 Å, intensity 22.2; 1.594 Å, intensity 25.7